Entry 1:
# Cs3GeS3
Simulated X-ray diffraction stick pattern, Cu Kα, 1.54184 Å. Input: a crystal structure in Alexandria, relaxed with GGA-PBE.

Cell and atoms:
```
data_Cs3GeS3
_chemical_formula_sum 'Cs24 Ge8 S24'
_cell_length_a 20.281
_cell_length_b 7.484
_cell_length_c 13.791
_cell_angle_alpha 90.00
_cell_angle_beta 90.00
_cell_angle_gamma 90.00
_symmetry_space_group_name_H-M 'C m c e'
_symmetry_Int_Tables_number 64
_symmetry_space_group_name_Hall '-C 2ac 2'
loop_
_atom_site_label
_atom_site_fract_x
_atom_site_fract_y
_atom_site_fract_z
Cs1 0.000 0.139 0.169
Cs2 0.176 0.154 0.870
Ge1 0.080 0.000 0.500
S1 0.000 0.212 0.422
S2 0.148 0.147 0.612
```

The 12 most intense peaks (5 to 70 degrees two-theta), in order of rising 2θ:
2θ (°)	I/Imax	(hkl)
21.91	100	3 1 2
23.13	68	1 1 3
25.82	80	0 0 4
26.19	79	2 2 1
26.37	51	6 0 0
30.39	39	4 2 1
31.49	22	3 1 4
37.25	57	6 0 4
41.64	19	2 2 5
43.62	22	8 2 1
47.10	42	5 3 3
55.01	23	11 1 3


Entry 2:
# Ti2Ni6Ir
Simulated X-ray diffraction stick pattern, Cu Kα, 1.54184 Å. Input: a crystal structure in Alexandria, relaxed with GGA-PBE.

Cell and atoms:
```
data_Ti2Ni6Ir
_chemical_formula_sum 'Ti2 Ni6 Ir1'
_cell_length_a 4.8083
_cell_length_b 4.8083
_cell_length_c 5.8253
_cell_angle_alpha 90.00
_cell_angle_beta 90.00
_cell_angle_gamma 120.00
_symmetry_space_group_name_H-M 'P -3 m 1'
_symmetry_Int_Tables_number 164
_symmetry_space_group_name_Hall '-P 3 2"'
loop_
_atom_site_label
_atom_site_fract_x
_atom_site_fract_y
_atom_site_fract_z
Ti1 0.3333 0.6667 0.3720
Ni1 0.1722 0.3445 0.8335
Ir1 0.0000 0.0000 0.5000
```

The 12 most intense peaks (5 to 70 degrees two-theta), in order of rising 2θ:
2θ (°)	I/Imax	(hkl)
21.34	74	1 0 0
26.31	47	0 1 1
37.69	61	1 0 2
40.60	81	1 1 1
46.31	100	0 2 1
46.78	23	0 0 3
49.14	29	1 1 2
51.96	30	1 0 3
54.15	43	2 0 2
58.66	15	2 1 0
67.66	16	2 1 2
69.63	16	3 0 1


Entry 3:
# Rb2Tm2HfSe6
Simulated X-ray diffraction stick pattern, Cu Kα, 1.54184 Å. Input: a crystal structure in Alexandria, relaxed with GGA-PBE.

Cell and atoms:
```
data_Rb2Tm2HfSe6
_chemical_formula_sum 'Rb4 Tm4 Hf2 Se12'
_cell_length_a 7.011
_cell_length_b 12.077
_cell_length_c 8.543
_cell_angle_alpha 90.00
_cell_angle_beta 106.38
_cell_angle_gamma 90.00
_symmetry_space_group_name_H-M 'C 1 2/m 1'
_symmetry_Int_Tables_number 12
_symmetry_space_group_name_Hall '-C 2y'
loop_
_atom_site_label
_atom_site_fract_x
_atom_site_fract_y
_atom_site_fract_z
Rb1 0.000 0.170 0.000
Tm1 0.000 0.333 0.500
Hf1 0.000 0.000 0.500
Se1 0.225 0.159 0.689
Se2 0.246 0.500 0.688
```

The 12 most intense peaks (5 to 70 degrees two-theta), in order of rising 2θ:
2θ (°)	I/Imax	(hkl)
10.79	100	0 0 1
21.69	9	0 0 2
29.22	45	2 0 -2
29.48	90	1 3 1
36.04	11	2 0 -3
36.36	21	1 3 2
38.96	30	1 3 -3
39.15	16	2 0 2
44.85	34	3 3 -1
45.04	15	0 6 0
48.25	12	1 3 -4
54.59	23	4 0 0


Entry 4:
# KSb3Pd3
Simulated X-ray diffraction stick pattern, Cu Kα, 1.54184 Å. Input: a crystal structure in Alexandria, relaxed with GGA-PBE.

Cell and atoms:
```
data_KSb3Pd3
_chemical_formula_sum 'K6 Sb18 Pd18'
_cell_length_a 7.5332
_cell_length_b 7.5332
_cell_length_c 24.8076
_cell_angle_alpha 90.00
_cell_angle_beta 90.00
_cell_angle_gamma 120.00
_symmetry_space_group_name_H-M 'R -3'
_symmetry_Int_Tables_number 148
_symmetry_space_group_name_Hall '-R 3'
loop_
_atom_site_label
_atom_site_fract_x
_atom_site_fract_y
_atom_site_fract_z
K1 0.0000 0.0000 0.1600
Sb1 0.0104 0.6289 0.0651
Pd1 0.0058 0.7117 0.9606
```

The 12 most intense peaks (5 to 70 degrees two-theta), in order of rising 2θ:
2θ (°)	I/Imax	(hkl)
10.70	100	0 0 3
23.62	37	1 1 0
25.99	40	2 -1 3
32.15	14	2 -1 6
32.48	21	0 0 9
37.18	11	1 2 2
39.32	13	2 1 4
40.56	39	2 -1 9
41.53	37	3 0 0
43.01	12	0 3 3
50.35	16	2 -1 12
53.68	20	0 3 9